# 1
GdInO3: simulated PXRD pattern (Cu Kα), based on DFT lattice parameters and positions (PBE).
Neutral-atom scattering factors, no anomalous dispersion.

Top 8 peaks for 5° ≤ 2θ ≤ 70°, in order of falling intensity:
- 2θ = 31.4°, rel. 100
- 2θ = 28.7°, rel. 90
- 2θ = 49.2°, rel. 41
- 2θ = 57.9°, rel. 40
- 2θ = 52.5°, rel. 27
- 2θ = 27.8°, rel. 19
- 2θ = 59.5°, rel. 17
- 2θ = 40.4°, rel. 15

Crystal structure
Unit cell a=6.4195 b=6.4195 c=12.4546 alpha=90.00 beta=90.00 gamma=120.00
Space group P6_3cm (No. 185)
One atom of each set of equivalent atoms:
Gd1 0.0000 0.0000 0.0000
Gd2 0.3333 0.6667 0.4646
In1 0.0000 0.3335 0.2297
O1 0.0000 0.0000 0.1999
O2 0.0000 0.3079 0.4001
O3 0.0000 0.3594 0.0606
O4 0.3333 0.6667 0.2551

=====

# 2
GdInO3: simulated PXRD pattern (Cu Kα), based on DFT lattice parameters and positions (PBE).
Neutral-atom scattering factors, no anomalous dispersion.

Top 8 peaks for 5° ≤ 2θ ≤ 70°, in order of falling intensity:
- 2θ = 30.9°, rel. 100
- 2θ = 56.3°, rel. 24
- 2θ = 31.9°, rel. 22
- 2θ = 30.1°, rel. 20
- 2θ = 44.5°, rel. 17
- 2θ = 44.1°, rel. 12
- 2θ = 55.5°, rel. 11
- 2θ = 50.2°, rel. 11

Crystal structure
Unit cell a=5.933 b=8.216 c=5.603 alpha=90.00 beta=90.00 gamma=90.00
Space group Pnma (No. 62)
One atom of each set of equivalent atoms:
Gd1 0.063 0.250 0.020
In1 0.000 0.000 0.500
O1 0.066 0.750 0.361
O2 0.190 0.571 0.814

=====

# 3
Gd3InO6: simulated PXRD pattern (Cu Kα), based on DFT lattice parameters and positions (PBE).
Neutral-atom scattering factors, no anomalous dispersion.

Top 8 peaks for 5° ≤ 2θ ≤ 70°, in order of falling intensity:
- 2θ = 29.6°, rel. 100
- 2θ = 29.9°, rel. 38
- 2θ = 31.5°, rel. 23
- 2θ = 49.9°, rel. 21
- 2θ = 58.5°, rel. 18
- 2θ = 44.4°, rel. 18
- 2θ = 45.0°, rel. 16
- 2θ = 54.9°, rel. 14

Crystal structure
Unit cell a=9.097 b=11.437 c=5.679 alpha=90.00 beta=90.00 gamma=90.00
Space group Cmc2_1 (No. 36)
One atom of each set of equivalent atoms:
Gd1 0.000 0.101 0.000
Gd2 0.195 0.395 0.951
In1 0.000 0.310 0.435
O1 0.000 0.281 0.790
O2 0.000 0.472 0.262
O3 0.160 0.017 0.725
O4 0.165 0.232 0.229

=====

# 4
Gd2InSbO7: simulated PXRD pattern (Cu Kα), based on DFT lattice parameters and positions (PBE).
Neutral-atom scattering factors, no anomalous dispersion.

Top 8 peaks for 5° ≤ 2θ ≤ 70°, in order of falling intensity:
- 2θ = 29.4°, rel. 100
- 2θ = 28.9°, rel. 100
- 2θ = 48.6°, rel. 63
- 2θ = 33.8°, rel. 45
- 2θ = 57.2°, rel. 30
- 2θ = 58.0°, rel. 28
- 2θ = 33.9°, rel. 22
- 2θ = 47.9°, rel. 17

Crystal structure
Unit cell a=7.415 b=7.600 c=10.581 alpha=90.00 beta=90.00 gamma=90.00
Space group Imma (No. 74)
One atom of each set of equivalent atoms:
Gd1 0.000 0.000 0.000
Gd2 0.250 0.250 0.250
In1 0.250 0.250 0.750
Sb1 0.000 0.000 0.500
O1 0.000 0.250 0.130
O2 0.000 0.250 0.434
O3 0.000 0.250 0.855
O4 0.200 0.024 0.625

=====

# 5
PmGdIn2: simulated PXRD pattern (Cu Kα), based on DFT lattice parameters and positions (PBE).
Neutral-atom scattering factors, no anomalous dispersion.

Top 7 peaks for 5° ≤ 2θ ≤ 70°, in order of falling intensity:
- 2θ = 33.0°, rel. 100
- 2θ = 59.0°, rel. 37
- 2θ = 47.4°, rel. 18
- 2θ = 69.3°, rel. 11
- 2θ = 23.2°, rel. 2
- 2θ = 53.4°, rel. 1
- 2θ = 40.8°, rel. 1

Crystal structure
Unit cell a=7.670 b=7.670 c=7.670 alpha=90.00 beta=90.00 gamma=90.00
Space group Fm-3m (No. 225)
One atom of each set of equivalent atoms:
Pm1 0.000 0.000 0.000
Gd1 0.000 0.000 0.500
In1 0.250 0.250 0.250

=====

# 6
GdIn2Rh: simulated PXRD pattern (Cu Kα), based on DFT lattice parameters and positions (PBE).
Neutral-atom scattering factors, no anomalous dispersion.

Top 8 peaks for 5° ≤ 2θ ≤ 70°, in order of falling intensity:
- 2θ = 31.5°, rel. 100
- 2θ = 35.3°, rel. 71
- 2θ = 40.5°, rel. 46
- 2θ = 41.1°, rel. 38
- 2θ = 68.0°, rel. 31
- 2θ = 37.1°, rel. 29
- 2θ = 38.0°, rel. 26
- 2θ = 33.4°, rel. 21

Crystal structure
Unit cell a=4.389 b=10.158 c=8.031 alpha=90.00 beta=90.00 gamma=90.00
Space group Cmcm (No. 63)
One atom of each set of equivalent atoms:
Gd1 0.000 0.067 0.250
In1 0.000 0.355 0.051
Rh1 0.000 0.216 0.750

=====

# 7
GdIn5Rh: simulated PXRD pattern (Cu Kα), based on DFT lattice parameters and positions (PBE).
Neutral-atom scattering factors, no anomalous dispersion.

Top 8 peaks for 5° ≤ 2θ ≤ 70°, in order of falling intensity:
- 2θ = 36.1°, rel. 100
- 2θ = 38.4°, rel. 53
- 2θ = 29.4°, rel. 30
- 2θ = 68.0°, rel. 30
- 2θ = 55.5°, rel. 18
- 2θ = 53.4°, rel. 17
- 2θ = 35.6°, rel. 14
- 2θ = 68.2°, rel. 11

Crystal structure
Unit cell a=4.684 b=4.684 c=7.560 alpha=90.00 beta=90.00 gamma=90.00
Space group P4/mmm (No. 123)
One atom of each set of equivalent atoms:
Gd1 0.000 0.000 0.000
In1 0.000 0.500 0.302
In2 0.500 0.500 0.000
Rh1 0.000 0.000 0.500

=====

# 8
GdInRh: simulated PXRD pattern (Cu Kα), based on DFT lattice parameters and positions (PBE).
Neutral-atom scattering factors, no anomalous dispersion.

Top 8 peaks for 5° ≤ 2θ ≤ 70°, in order of falling intensity:
- 2θ = 32.6°, rel. 100
- 2θ = 35.4°, rel. 89
- 2θ = 36.1°, rel. 49
- 2θ = 41.2°, rel. 34
- 2θ = 66.2°, rel. 30
- 2θ = 45.7°, rel. 25
- 2θ = 59.6°, rel. 22
- 2θ = 42.9°, rel. 22

Crystal structure
Unit cell a=7.5975 b=7.5975 c=3.9679 alpha=90.00 beta=90.00 gamma=120.00
Space group P-62m (No. 189)
One atom of each set of equivalent atoms:
Gd1 0.0000 0.5915 0.0000
In1 0.0000 0.2544 0.5000
Rh1 0.0000 0.0000 0.0000
Rh2 0.3333 0.6667 0.5000

=====

# 9
Gd2ZnIn: simulated PXRD pattern (Cu Kα), based on DFT lattice parameters and positions (PBE).
Neutral-atom scattering factors, no anomalous dispersion.

Top 8 peaks for 5° ≤ 2θ ≤ 70°, in order of falling intensity:
- 2θ = 34.1°, rel. 100
- 2θ = 61.0°, rel. 37
- 2θ = 49.0°, rel. 18
- 2θ = 23.9°, rel. 7
- 2θ = 55.2°, rel. 3
- 2θ = 42.1°, rel. 2
- 2θ = 20.7°, rel. 2
- 2θ = 40.2°, rel. 1

Crystal structure
Unit cell a=7.438 b=7.438 c=7.438 alpha=90.00 beta=90.00 gamma=90.00
Space group Fm-3m (No. 225)
One atom of each set of equivalent atoms:
Gd1 0.250 0.250 0.250
Zn1 0.000 0.000 0.000
In1 0.000 0.000 0.500

=====

# 10
GdZnIn: simulated PXRD pattern (Cu Kα), based on DFT lattice parameters and positions (PBE).
Neutral-atom scattering factors, no anomalous dispersion.

Top 8 peaks for 5° ≤ 2θ ≤ 70°, in order of falling intensity:
- 2θ = 32.8°, rel. 100
- 2θ = 38.1°, rel. 63
- 2θ = 51.2°, rel. 28
- 2θ = 65.5°, rel. 27
- 2θ = 64.4°, rel. 26
- 2θ = 68.8°, rel. 11
- 2θ = 49.8°, rel. 10
- 2θ = 21.7°, rel. 8

Crystal structure
Unit cell a=4.7241 b=4.7241 c=7.3228 alpha=90.00 beta=90.00 gamma=120.00
Space group P6_3/mmc (No. 194)
One atom of each set of equivalent atoms:
Gd1 0.0000 0.0000 0.0000
Zn1 0.3333 0.6667 0.2500
In1 0.3333 0.6667 0.7500

=====

# 11
GdLuIr2: simulated PXRD pattern (Cu Kα), based on DFT lattice parameters and positions (PBE).
Neutral-atom scattering factors, no anomalous dispersion.

Top 4 peaks for 5° ≤ 2θ ≤ 70°, in order of falling intensity:
- 2θ = 37.3°, rel. 100
- 2θ = 67.3°, rel. 36
- 2θ = 53.8°, rel. 18
- 2θ = 26.1°, rel. 1

Crystal structure
Unit cell a=6.817 b=6.817 c=6.817 alpha=90.00 beta=90.00 gamma=90.00
Space group Fm-3m (No. 225)
One atom of each set of equivalent atoms:
Gd1 0.000 0.000 0.000
Lu1 0.000 0.000 0.500
Ir1 0.250 0.250 0.250

=====

# 12
Gd2IrPd: simulated PXRD pattern (Cu Kα), based on DFT lattice parameters and positions (PBE).
Neutral-atom scattering factors, no anomalous dispersion.

Top 7 peaks for 5° ≤ 2θ ≤ 70°, in order of falling intensity:
- 2θ = 36.3°, rel. 100
- 2θ = 65.3°, rel. 36
- 2θ = 52.3°, rel. 18
- 2θ = 22.0°, rel. 4
- 2θ = 42.8°, rel. 2
- 2θ = 57.4°, rel. 1
- 2θ = 69.8°, rel. 1

Crystal structure
Unit cell a=7.001 b=7.001 c=7.001 alpha=90.00 beta=90.00 gamma=90.00
Space group Fm-3m (No. 225)
One atom of each set of equivalent atoms:
Gd1 0.250 0.250 0.250
Ir1 0.000 0.000 0.000
Pd1 0.000 0.000 0.500

=====

# 13
Gd2IrRh: simulated PXRD pattern (Cu Kα), based on DFT lattice parameters and positions (PBE).
Neutral-atom scattering factors, no anomalous dispersion.

Top 6 peaks for 5° ≤ 2θ ≤ 70°, in order of falling intensity:
- 2θ = 36.8°, rel. 100
- 2θ = 66.3°, rel. 36
- 2θ = 53.0°, rel. 18
- 2θ = 22.3°, rel. 4
- 2θ = 43.4°, rel. 2
- 2θ = 58.2°, rel. 1

Crystal structure
Unit cell a=6.911 b=6.911 c=6.911 alpha=90.00 beta=90.00 gamma=90.00
Space group Fm-3m (No. 225)
One atom of each set of equivalent atoms:
Gd1 0.250 0.250 0.250
Ir1 0.000 0.000 0.000
Rh1 0.000 0.000 0.500

=====

# 14
Gd2IrRu: simulated PXRD pattern (Cu Kα), based on DFT lattice parameters and positions (PBE).
Neutral-atom scattering factors, no anomalous dispersion.

Top 6 peaks for 5° ≤ 2θ ≤ 70°, in order of falling intensity:
- 2θ = 36.9°, rel. 100
- 2θ = 66.5°, rel. 36
- 2θ = 53.2°, rel. 18
- 2θ = 22.4°, rel. 5
- 2θ = 43.6°, rel. 3
- 2θ = 58.4°, rel. 1

Crystal structure
Unit cell a=6.890 b=6.890 c=6.890 alpha=90.00 beta=90.00 gamma=90.00
Space group Fm-3m (No. 225)
One atom of each set of equivalent atoms:
Gd1 0.250 0.250 0.250
Ir1 0.000 0.000 0.000
Ru1 0.000 0.000 0.500